(1)
The following is a calculated powder X-ray diffraction pattern of Ba2MgTi2O6. It was derived from a cell relaxed with PBE, using Cu Kα X-rays.

Top 6 peaks for 10° ≤ 2θ ≤ 90°, sorted by position:
Position (°2θ)  I/Imax
21.95  42.1
29.37  100.0
31.24  89.1
33.10  77.4
44.77  59.2
46.16  57.6

Cell: 6.1327 6.1327 6.1327 Å, 124.34 124.34 82.63°
Fractional positions:
Ba (0.1971, 0.1971, 0.0000)
Ba (0.8029, 0.8029, 0.0000)
Mg (0.5000, 0.5000, 0.0000)
Ti (0.0000, 0.5000, 0.5000)
Ti (0.5000, 0.0000, 0.5000)
O (0.2500, 0.7500, 0.5000)
O (0.2566, 0.2566, 0.5132)
O (0.2566, 0.7434, 0.0000)
O (0.7434, 0.2566, 0.0000)
O (0.7434, 0.7434, 0.4868)
O (0.7500, 0.2500, 0.5000)

---

(2)
The following is a calculated powder X-ray diffraction pattern of MgTi2. It was derived from a cell relaxed with PBE, using Cu Kα X-rays.

Top 6 peaks for 10° ≤ 2θ ≤ 90°, sorted by position:
Position (°2θ)  I/Imax
18.04  14.8
37.00  17.7
38.33  100.0
38.58  28.9
41.92  20.6
69.64  14.7

Cell: 5.4840 5.4840 4.6672 Å, 90.00 90.00 52.60°
Fractional positions:
Mg (0.1978, 0.8022, 0.7500)
Mg (0.8022, 0.1978, 0.2500)
Ti (0.1351, 0.5130, 0.2500)
Ti (0.4870, 0.8649, 0.2500)
Ti (0.5130, 0.1351, 0.7500)
Ti (0.8649, 0.4870, 0.7500)

---

(3)
The following is a calculated powder X-ray diffraction pattern of Na2CaZrSi2O7F2. It was derived from a cell relaxed with PBE, using Cu Kα X-rays.

Top 6 peaks for 10° ≤ 2θ ≤ 90°, sorted by position:
Position (°2θ)  I/Imax
16.71  29.9
26.68  36.9
29.96  100.0
30.77  45.0
49.59  24.1
50.63  25.7

Cell: 7.3537 10.6088 10.2008 Å, 90.00 90.09 90.00°
Fractional positions:
Na (0.1183, 0.0721, 0.3798)
Na (0.1183, 0.4279, 0.8798)
Na (0.3718, 0.5689, 0.1244)
Na (0.3718, 0.9311, 0.6244)
Na (0.6282, 0.0689, 0.3756)
Na (0.6282, 0.4311, 0.8756)
Na (0.8817, 0.5721, 0.1202)
Na (0.8817, 0.9279, 0.6202)
Ca (0.1261, 0.7012, 0.3941)
Ca (0.1261, 0.7988, 0.8941)
Ca (0.8739, 0.2013, 0.1059)
Ca (0.8739, 0.2988, 0.6059)
Zr (0.3743, 0.1979, 0.1090)
Zr (0.3743, 0.3021, 0.6090)
Zr (0.6257, 0.6979, 0.3910)
Zr (0.6257, 0.8021, 0.8910)
Si (0.0989, 0.1203, 0.8292)
Si (0.0989, 0.3797, 0.3292)
Si (0.3453, 0.6210, 0.6669)
Si (0.3453, 0.8790, 0.1669)
Si (0.6547, 0.1210, 0.8331)
Si (0.6547, 0.3790, 0.3331)
Si (0.9011, 0.6203, 0.6708)
Si (0.9011, 0.8797, 0.1708)
O (0.1246, 0.6490, 0.6657)
O (0.1246, 0.8510, 0.1657)
O (0.1395, 0.5191, 0.2774)
O (0.1395, 0.9809, 0.7774)
O (0.1625, 0.1478, 0.9820)
O (0.1625, 0.3522, 0.4820)
O (0.1674, 0.2375, 0.7346)
O (0.1674, 0.2625, 0.2346)
O (0.3832, 0.0245, 0.2109)
O (0.3832, 0.4755, 0.7109)
O (0.4118, 0.6501, 0.5171)
O (0.4118, 0.8499, 0.0171)
O (0.4209, 0.7284, 0.7685)
O (0.4209, 0.7716, 0.2685)
O (0.5791, 0.2284, 0.7315)
O (0.5791, 0.2716, 0.2315)
O (0.5882, 0.1501, 0.9829)
O (0.5882, 0.3499, 0.4829)
O (0.6168, 0.5245, 0.2891)
O (0.6168, 0.9755, 0.7891)
O (0.8326, 0.7375, 0.7654)
O (0.8326, 0.7625, 0.2654)
O (0.8375, 0.6478, 0.5180)
O (0.8375, 0.8522, 0.0180)
O (0.8605, 0.0191, 0.2226)
O (0.8605, 0.4809, 0.7226)
O (0.8754, 0.1490, 0.8343)
O (0.8754, 0.3510, 0.3343)
F (0.1292, 0.6127, 0.9851)
F (0.1292, 0.8873, 0.4851)
F (0.3755, 0.1229, 0.5157)
F (0.3755, 0.3771, 0.0157)
F (0.6245, 0.6229, 0.9843)
F (0.6245, 0.8771, 0.4843)
F (0.8708, 0.1127, 0.5149)
F (0.8708, 0.3873, 0.0149)